Theoretical XRD peak list
Compound: Ba7Ca2Mn3V2O20
Radiation: a wavelength of 1.5418 Å
Structure: DFT lattice parameters and positions (PBE+U)
No peak broadening, texture or thermal motion is included.

Atomic structure:
```
Ba7Ca2Mn3V2O20
1.0
2.957 1.707 17.371
-2.957 1.707 17.371
0.000 -3.414 17.371
Ba Ca Mn V O
7 2 3 2 20
direct
0.000 0.000 0.000 Ba
0.146 0.146 0.146 Ba
0.226 0.226 0.226 Ba
0.388 0.388 0.388 Ba
0.612 0.612 0.612 Ba
0.774 0.774 0.774 Ba
0.854 0.854 0.854 Ba
0.075 0.075 0.075 Ca
0.925 0.925 0.925 Ca
0.451 0.451 0.451 Mn
0.500 0.500 0.500 Mn
0.549 0.549 0.549 Mn
0.303 0.303 0.303 V
0.697 0.697 0.697 V
0.132 0.132 0.610 O
0.132 0.610 0.132 O
0.185 0.623 0.623 O
0.263 0.722 0.722 O
0.278 0.278 0.737 O
0.278 0.737 0.278 O
0.336 0.336 0.336 O
0.377 0.377 0.815 O
0.377 0.815 0.377 O
0.390 0.868 0.868 O
0.610 0.132 0.132 O
0.623 0.185 0.623 O
0.623 0.623 0.185 O
0.664 0.664 0.664 O
0.722 0.263 0.722 O
0.722 0.722 0.263 O
0.737 0.278 0.278 O
0.815 0.377 0.377 O
0.868 0.390 0.868 O
0.868 0.868 0.390 O
```

Peak list (8 most intense, 10 to 80 degrees two-theta, by angle)
d 3.157, 2θ 28.27, rel. 71
d 2.957, 2θ 30.23, rel. 100
d 2.383, 2θ 37.75, rel. 13
d 2.158, 2θ 41.86, rel. 40
d 2.069, 2θ 43.75, rel. 14
d 1.743, 2θ 52.50, rel. 24
d 1.707, 2θ 53.69, rel. 19
d 1.478, 2θ 62.86, rel. 18

***

Theoretical XRD peak list
Compound: Ba2La2MgZnW2O12
Radiation: a wavelength of 1.5418 Å
Structure: DFT lattice parameters and positions (PBE+U)
No peak broadening, texture or thermal motion is included.

Atomic structure:
```
Ba2La2MgZnW2O12
1.0
2.883 1.664 9.563
-2.883 1.664 9.563
0.000 -3.329 9.563
Ba La Mg Zn W O
2 2 1 1 2 12
direct
0.214 0.214 0.214 Ba
0.786 0.786 0.786 Ba
0.364 0.364 0.364 La
0.636 0.636 0.636 La
0.000 0.000 0.000 Mg
0.500 0.500 0.500 Zn
0.089 0.089 0.089 W
0.911 0.911 0.911 W
0.123 0.123 0.629 O
0.123 0.629 0.123 O
0.218 0.710 0.710 O
0.290 0.290 0.782 O
0.290 0.782 0.290 O
0.371 0.877 0.877 O
0.629 0.123 0.123 O
0.710 0.218 0.710 O
0.710 0.710 0.218 O
0.782 0.290 0.290 O
0.877 0.371 0.877 O
0.877 0.877 0.371 O
```

Peak list (8 most intense, 10 to 80 degrees two-theta, by angle)
d 4.098, 2θ 21.69, rel. 12
d 3.168, 2θ 28.17, rel. 90
d 2.883, 2θ 31.02, rel. 100
d 2.132, 2θ 42.39, rel. 49
d 1.714, 2θ 53.45, rel. 31
d 1.664, 2θ 55.19, rel. 20
d 1.441, 2θ 64.67, rel. 19
d 1.312, 2θ 71.97, rel. 15